No. 1
This entry pairs a crystal structure of H24OsC8N2F6 with its computed X-ray powder pattern. Radiation: λ = 1.5418 Å (Cu Kα). Structure: a crystal structure in the Materials Project, relaxed with PBE.

The 8 most intense peaks (10 to 90 degrees two-theta), in order of rising 2θ:
2θ 13.14, I 34, hkl 0 0 3; 2θ 13.27, I 100, hkl 1 0 1; 2θ 15.30, I 24, hkl 0 1 2; 2θ 21.62, I 37, hkl 1 0 4; 2θ 21.78, I 36, hkl 1 1 0; 2θ 25.38, I 18, hkl 0 1 5; 2θ 25.54, I 51, hkl 2 -1 3; 2θ 40.51, I 21, hkl 3 -2 5

Structural model:
a b c (Å): 8.1611 8.1611 20.2172
angles (deg): 90.00 90.00 120.00
Space group R-3 (No. 148, hexagonal axes)
One atom of each set of equivalent atoms:
1 H 0.0115 0.7459 0.2580
2 H 0.0492 0.6040 0.4110
3 H 0.0576 0.1468 0.1593
4 H 0.0819 0.1963 0.6705
5 Os 0.0000 0.0000 0.5000
6 C 0.0000 0.0000 0.1765
7 C 0.0791 0.1989 0.7243
8 N 0.0000 0.0000 0.2508
9 F 0.0850 0.2233 0.5555

---

No. 2
This entry pairs a crystal structure of SiH14C4S2N8F6 with its computed X-ray powder pattern. Radiation: λ = 1.5418 Å (Cu Kα). Structure: a crystal structure in the Materials Project, relaxed with PBE.

The 8 most intense peaks (10 to 90 degrees two-theta), in order of rising 2θ:
2θ 13.31, I 27, hkl 1 0 0; 2θ 16.53, I 21, hkl 0 1 -1; 2θ 17.65, I 48, hkl 1 1 1; 2θ 17.84, I 57, hkl 1 0 -1; 2θ 18.31, I 24, hkl 1 1 -1; 2θ 21.74, I 100, hkl 1 -1 0; 2θ 24.57, I 25, hkl 2 1 0; 2θ 26.80, I 62, hkl 2 0 0

Structural model:
a b c (Å): 7.280 7.697 8.042
angles (deg): 89.97 86.68 66.34
Space group P-1 (No. 2)
One atom of each set of equivalent atoms:
1 Si 0.000 0.000 0.000
2 H 0.188 0.004 0.435
3 H 0.202 0.074 0.641
4 H 0.233 0.252 0.974
5 H 0.235 0.139 0.227
6 H 0.248 0.472 0.948
7 H 0.272 0.648 0.175
8 H 0.302 0.538 0.375
9 C 0.259 0.236 0.459
10 C 0.276 0.383 0.185
11 S 0.296 0.387 0.589
12 N 0.217 0.090 0.516
13 N 0.263 0.361 0.023
14 N 0.269 0.241 0.286
15 N 0.296 0.533 0.247
16 F 0.134 0.976 0.177
17 F 0.140 0.767 0.950
18 F 0.172 0.063 0.887

---

No. 3
This entry pairs a crystal structure of SiH14C4S2N8F6 with its computed X-ray powder pattern. Radiation: λ = 1.5418 Å (Cu Kα). Structure: a crystal structure in the Materials Project, relaxed with PBE.

The 8 most intense peaks (10 to 90 degrees two-theta), in order of rising 2θ:
2θ 16.45, I 32, hkl 0 1 1; 2θ 17.69, I 88, hkl 1 0 1; 2θ 19.10, I 32, hkl 1 0 -1; 2θ 20.12, I 48, hkl 1 1 -1; 2θ 23.03, I 22, hkl 1 -1 0; 2θ 24.32, I 100, hkl 1 2 0; 2θ 27.18, I 27, hkl 2 1 0; 2θ 30.86, I 66, hkl 2 2 0

Structural model:
a b c (Å): 6.617 7.502 8.026
angles (deg): 83.80 83.44 66.70
Space group P-1 (No. 2)
One atom of each set of equivalent atoms:
1 Si 0.000 0.000 0.000
2 H 0.074 0.641 0.825
3 H 0.153 0.543 0.622
4 H 0.200 0.002 0.435
5 H 0.273 0.474 0.046
6 H 0.275 0.924 0.643
7 H 0.389 0.862 0.225
8 H 0.498 0.252 0.025
9 C 0.334 0.381 0.811
10 C 0.493 0.765 0.461
11 S 0.322 0.380 0.407
12 N 0.167 0.531 0.750
13 N 0.303 0.904 0.517
14 N 0.365 0.360 0.974
15 N 0.483 0.241 0.713
16 F 0.086 0.759 0.066
17 F 0.106 0.044 0.172
18 F 0.251 0.955 0.886